Er6CoHg: calculated powder diffractogram (Cu Kα (λ = 1.5418 Å)), based on a PBE-relaxed structure.
Neutral-atom scattering factors, no anomalous dispersion.

Largest 8 diffraction maxima, in order of rising 2θ, 2θ = 10–90°:
18.0 deg, 4.923 Å, I = 11, hkl -1 1 1; 24.6 deg, 3.622 Å, I = 14, hkl 1 0 -2; 28.9 deg, 3.087 Å, I = 14, hkl 0 0 2; 30.3 deg, 2.949 Å, I = 100, hkl 2 -1 0; 39.7 deg, 2.272 Å, I = 39, hkl 1 1 1; 46.9 deg, 1.938 Å, I = 26, hkl 3 0 -2; 52.1 deg, 1.754 Å, I = 20, hkl -2 1 4; 56.9 deg, 1.619 Å, I = 13, hkl 2 2 -1

Crystal structure
a = 6.7096 Å, b = 6.7133 Å, c = 7.2858 Å
α = 90.03°, β = 117.37°, γ = 119.98°
Positions (direct):
Er1 0.0466 0.0884 0.2612
Er2 0.3029 0.7145 0.2610
Er3 0.3268 0.5416 0.7389
Er4 0.6732 0.4584 0.2611
Er5 0.6971 0.2855 0.7390
Er6 0.9534 0.9116 0.7388
Co1 0.5000 0.5000 0.5000
Hg1 0.5000 0.0000 0.0000